Theoretical X-ray diffraction stick pattern
Compound: Ca3Mg3In2
Radiation: a wavelength of 1.5418 Å
Structure: a structure optimized by DFT (GGA-PBE)

Largest 10 diffraction maxima, most intense first, 2θ = 10–90°:
2θ = 30.13°, d = 2.966 Å, I 100, hkl 1 1 1
2θ = 13.23°, d = 6.690 Å, I 49, hkl 1 0 0
2θ = 33.04°, d = 2.712 Å, I 39, hkl 2 0 1
2θ = 23.03°, d = 3.862 Å, I 29, hkl 1 1 0
2θ = 35.50°, d = 2.529 Å, I 26, hkl 2 1 0
2θ = 40.45°, d = 2.230 Å, I 23, hkl 3 0 0
2θ = 40.65°, d = 2.219 Å, I 18, hkl 2 1 1
2θ = 19.17°, d = 4.631 Å, I 18, hkl 0 0 1
2θ = 67.24°, d = 1.392 Å, I 18, hkl 4 1 1
2θ = 38.90°, d = 2.315 Å, I 17, hkl 0 0 2

Structural model:
```
data_Ca3Mg3In2
_cell_length_a 7.725
_cell_length_b 7.725
_cell_length_c 4.631
_cell_angle_alpha 90.00
_cell_angle_beta 90.00
_cell_angle_gamma 120.00
_space_group_name_H-M_alt 'P 1'
_space_group_IT_number 1
loop_
_space_group_symop_operation_xyz
'x,y,z'
loop_
_atom_site_label
_atom_site_type_symbol
_atom_site_fract_x
_atom_site_fract_y
_atom_site_fract_z
Ca1 Ca 0.000 0.402 0.000
Ca2 Ca 0.402 0.000 0.000
Ca3 Ca 0.598 0.598 0.000
Mg1 Mg 0.000 0.766 0.500
Mg2 Mg 0.234 0.234 0.500
Mg3 Mg 0.766 0.000 0.500
In1 In 0.333 0.667 0.500
In2 In 0.667 0.333 0.500
```